# 1
For Li4CuSi2O7, DFT lattice parameters and positions (GGA-PBE) gives the computed powder diffraction line list in this record (Cu Kα).
Lines closer than 0.1° are merged.

Atomic structure:
Lattice parameters (Å, degrees): 5.3121 5.3121 6.7822 99.02 99.02 50.32
Element x y z (fractional)
Li 0.1463 0.1463 0.4354
Li 0.2845 0.2933 0.8559
Li 0.7067 0.7155 0.1441
Li 0.8537 0.8537 0.5646
Cu 0.9885 0.0115 0.0000
Si 0.4008 0.4479 0.2897
Si 0.5521 0.5992 0.7103
O 0.0767 0.5130 0.3441
O 0.2185 0.6824 0.7750
O 0.3176 0.7815 0.2250
O 0.4870 0.9233 0.6559
O 0.5910 0.1505 0.1134
O 0.6675 0.3325 0.5000
O 0.8495 0.4090 0.8866

The 6 most intense peaks (10° ≤ 2θ ≤ 90°), sorted by position:
13.25 deg, I = 32; 18.74 deg, I = 87; 24.72 deg, I = 94; 24.86 deg, I = 52; 35.38 deg, I = 97; 36.01 deg, I = 100



# 2
For Li2Cu2Si8O19, DFT lattice parameters and positions (GGA-PBE) gives the computed powder diffraction line list in this record (Cu Kα).
Lines closer than 0.1° are merged.

Atomic structure:
Lattice parameters (Å, degrees): 7.4301 7.4301 12.4646 106.91 106.91 40.33
Element x y z (fractional)
Li 0.1177 0.1177 0.1402
Li 0.8823 0.8823 0.8598
Cu 0.5231 0.0781 0.0932
Cu 0.9219 0.4769 0.9068
Si 0.0317 0.3887 0.6645
Si 0.0765 0.9163 0.3305
Si 0.0837 0.9235 0.6695
Si 0.1631 0.6905 0.0769
Si 0.3095 0.8369 0.9231
Si 0.4454 0.3063 0.5680
Si 0.6113 0.9683 0.3355
Si 0.6937 0.5546 0.4320
O 0.1097 0.8849 0.1996
O 0.1151 0.8903 0.8004
O 0.1265 0.1043 0.6656
O 0.1445 0.8555 0.0000
O 0.2434 0.1114 0.9727
O 0.2957 0.2824 0.6257
O 0.3125 0.6154 0.6012
O 0.3846 0.6875 0.3988
O 0.4225 0.2375 0.4313
O 0.4348 0.0388 0.2119
O 0.4613 0.3682 0.0781
O 0.6318 0.5387 0.9219
O 0.7176 0.7043 0.3743
O 0.7625 0.5775 0.5687
O 0.7739 0.0736 0.6170
O 0.8886 0.7566 0.0273
O 0.8957 0.8735 0.3344
O 0.9264 0.2261 0.3830
O 0.9612 0.5652 0.7881

The 6 most intense peaks (10° ≤ 2θ ≤ 90°), sorted by position:
13.12 deg, I = 56; 16.69 deg, I = 69; 19.24 deg, I = 90; 25.22 deg, I = 81; 26.64 deg, I = 100; 29.36 deg, I = 53



# 3
For Li2CuSi2O6, DFT lattice parameters and positions (GGA-PBE) gives the computed powder diffraction line list in this record (Cu Kα).
Lines closer than 0.1° are merged.

Atomic structure:
Lattice parameters (Å, degrees): 10.3019 5.1132 10.3917 74.72 28.61 76.67
Element x y z (fractional)
Li 0.0540 0.4460 0.1100
Li 0.1400 0.8600 0.1960
Li 0.4460 0.0540 0.3900
Li 0.8600 0.1400 0.8040
Cu 0.0308 0.0308 0.9692
Cu 0.2808 0.2808 0.2192
Si 0.1861 0.6635 0.4777
Si 0.5773 0.7723 0.5865
Si 0.6635 0.1861 0.6727
Si 0.7723 0.5773 0.0639
O 0.1451 0.6051 0.3681
O 0.2047 0.9811 0.4610
O 0.3683 0.8819 0.6449
O 0.4536 0.4872 0.3208
O 0.4872 0.4536 0.7384
O 0.5116 0.9292 0.7628
O 0.6051 0.1451 0.8817
O 0.7890 0.8969 0.0453
O 0.8819 0.3683 0.1049
O 0.8969 0.7890 0.2689
O 0.9292 0.5116 0.7964
O 0.9811 0.2047 0.3531

The 6 most intense peaks (10° ≤ 2θ ≤ 90°), sorted by position:
22.20 deg, I = 100; 27.19 deg, I = 21; 28.92 deg, I = 23; 35.19 deg, I = 24; 37.97 deg, I = 19; 38.61 deg, I = 15



# 4
For Li4CuSi2O7, DFT lattice parameters and positions (GGA-PBE) gives the computed powder diffraction line list in this record (Cu Kα).
Lines closer than 0.1° are merged.

Atomic structure:
Lattice parameters (Å, degrees): 7.1428 7.1428 8.1128 93.80 93.80 44.91
Element x y z (fractional)
Li 0.0962 0.4591 0.4235
Li 0.1452 0.8548 0.5000
Li 0.3996 0.7401 0.8525
Li 0.4591 0.0962 0.9235
Li 0.5433 0.8647 0.5686
Li 0.7401 0.3996 0.3525
Li 0.8548 0.1452 0.0000
Li 0.8647 0.5433 0.0686
Cu 0.2632 0.5897 0.1525
Cu 0.5897 0.2632 0.6525
Si 0.0289 0.6794 0.7769
Si 0.3111 0.9701 0.2060
Si 0.6794 0.0289 0.2769
Si 0.9701 0.3111 0.7060
O 0.0606 0.4361 0.8412
O 0.1365 0.7467 0.9286
O 0.2054 0.5739 0.6107
O 0.2315 0.9981 0.6742
O 0.3631 0.7398 0.3048
O 0.4361 0.0606 0.3412
O 0.4861 0.8510 0.0414
O 0.5739 0.2054 0.1107
O 0.7119 0.9417 0.7385
O 0.7398 0.3631 0.8048
O 0.7467 0.1365 0.4286
O 0.8510 0.4861 0.5414
O 0.9417 0.7119 0.2385
O 0.9981 0.2315 0.1742

The 6 most intense peaks (10° ≤ 2θ ≤ 90°), sorted by position:
13.45 deg, I = 55; 20.50 deg, I = 100; 21.97 deg, I = 75; 27.09 deg, I = 41; 33.35 deg, I = 71; 36.40 deg, I = 58



# 5
For Li2Cu2Si4O11, DFT lattice parameters and positions (GGA-PBE) gives the computed powder diffraction line list in this record (Cu Kα).
Lines closer than 0.1° are merged.

Atomic structure:
Lattice parameters (Å, degrees): 7.1560 7.8872 8.6095 96.44 103.51 111.79
Element x y z (fractional)
Li 0.1456 0.2771 0.2096
Li 0.3353 0.7558 0.8339
Li 0.6647 0.2442 0.1661
Li 0.8544 0.7229 0.7904
Cu 0.1310 0.8923 0.5962
Cu 0.3838 0.1094 0.3874
Cu 0.6162 0.8906 0.6126
Cu 0.8690 0.1077 0.4038
Si 0.0139 0.7177 0.2159
Si 0.2616 0.1101 0.9642
Si 0.2892 0.4758 0.6031
Si 0.4453 0.7154 0.2332
Si 0.5547 0.2846 0.7668
Si 0.7108 0.5242 0.3969
Si 0.7384 0.8899 0.0358
Si 0.9861 0.2823 0.7841
O 0.1092 0.2291 0.9459
O 0.1107 0.8989 0.3673
O 0.1533 0.3070 0.4429
O 0.1577 0.4633 0.7426
O 0.1651 0.9097 0.8334
O 0.1891 0.6487 0.1737
O 0.3235 0.1057 0.1539
O 0.3447 0.6880 0.5800
O 0.4219 0.0941 0.6235
O 0.4867 0.2479 0.9342
O 0.4881 0.5393 0.2947
O 0.5119 0.4607 0.7053
O 0.5133 0.7521 0.0658
O 0.5781 0.9059 0.3765
O 0.6553 0.3120 0.4200
O 0.6765 0.8943 0.8461
O 0.8109 0.3513 0.8263
O 0.8349 0.0903 0.1666
O 0.8423 0.5367 0.2574
O 0.8467 0.6930 0.5571
O 0.8893 0.1011 0.6327
O 0.8908 0.7709 0.0541

The 6 most intense peaks (10° ≤ 2θ ≤ 90°), sorted by position:
10.83 deg, I = 99; 12.39 deg, I = 70; 27.43 deg, I = 60; 28.96 deg, I = 100; 29.42 deg, I = 49; 33.50 deg, I = 51



# 6
For Li2Cu5Si4O14, DFT lattice parameters and positions (GGA-PBE) gives the computed powder diffraction line list in this record (Cu Kα).
Lines closer than 0.1° are merged.

Atomic structure:
Lattice parameters (Å, degrees): 5.5378 7.5993 7.9233 64.29 89.33 72.90
Element x y z (fractional)
Li 0.2386 0.3886 0.4472
Li 0.7614 0.6114 0.5528
Cu 0.0000 0.5000 0.0000
Cu 0.0818 0.1123 0.8148
Cu 0.3259 0.0744 0.2830
Cu 0.6741 0.9256 0.7170
Cu 0.9182 0.8877 0.1852
Si 0.1968 0.7136 0.5948
Si 0.4934 0.2707 0.8580
Si 0.5066 0.7293 0.1420
Si 0.8032 0.2864 0.4052
O 0.0336 0.3156 0.2680
O 0.1012 0.6752 0.4223
O 0.2114 0.8515 0.0409
O 0.2885 0.9125 0.5417
O 0.2997 0.2718 0.0161
O 0.4102 0.1638 0.7332
O 0.4607 0.5138 0.7138
O 0.5393 0.4862 0.2862
O 0.5898 0.8362 0.2668
O 0.7003 0.7282 0.9839
O 0.7115 0.0875 0.4583
O 0.7886 0.1485 0.9591
O 0.8988 0.3248 0.5777
O 0.9664 0.6844 0.7320

The 6 most intense peaks (10° ≤ 2θ ≤ 90°), sorted by position:
13.65 deg, I = 45; 25.46 deg, I = 56; 28.95 deg, I = 39; 29.58 deg, I = 100; 33.88 deg, I = 93; 35.52 deg, I = 46



# 7
For LiSm2CuO5, DFT lattice parameters and positions (GGA-PBE) gives the computed powder diffraction line list in this record (Cu Kα).
Lines closer than 0.1° are merged.

Atomic structure:
Lattice parameters (Å, degrees): 6.6332 6.6332 5.5545 90.00 90.00 90.00
Element x y z (fractional)
Li 0.0000 0.0000 0.0000
Li 0.5000 0.5000 0.0000
Sm 0.1768 0.3232 0.5000
Sm 0.3232 0.8232 0.5000
Sm 0.6768 0.1768 0.5000
Sm 0.8232 0.6768 0.5000
Cu 0.0000 0.5000 0.0000
Cu 0.5000 0.0000 0.0000
O 0.0000 0.0000 0.5000
O 0.1329 0.6329 0.2402
O 0.1329 0.6329 0.7598
O 0.3671 0.1329 0.2402
O 0.3671 0.1329 0.7598
O 0.5000 0.5000 0.5000
O 0.6329 0.8671 0.2402
O 0.6329 0.8671 0.7598
O 0.8671 0.3671 0.2402
O 0.8671 0.3671 0.7598

The 6 most intense peaks (10° ≤ 2θ ≤ 90°), sorted by position:
15.96 deg, I = 98; 18.92 deg, I = 45; 31.41 deg, I = 77; 34.27 deg, I = 100; 44.70 deg, I = 68; 46.26 deg, I = 39